Entry 1:
Computed powder diffraction line list of Na2Cu2Se3 for copper Kα, from the GGA-PBE geometry in Alexandria.
Peak positions follow from Bragg's law for the DFT cell and can differ from measured ones.

a = 15.9854 Å, b = 3.9886 Å, c = 11.4118 Å
α = 90.00°, β = 125.03°, γ = 90.00°
Space group C2/m (No. 12)
Symmetry-distinct sites (fractional):
Na (0.1139, 0.0000, 0.4612) [4 per cell]
Na (0.2318, 0.0000, 0.8362) [4 per cell]
Cu (0.0232, 0.5000, 0.8122) [4 per cell]
Cu (0.0828, 0.0000, 0.1541) [4 per cell]
Se (0.0636, 0.5000, 0.6329) [4 per cell]
Se (0.1071, 0.0000, 0.9566) [4 per cell]
Se (0.1623, 0.5000, 0.3020) [4 per cell]

Peak list (10 most intense, 2θ from 10° to 80°, by angle)
h k l	2θ/deg	intensity
2 0 0	13.53	100
2 0 -3	23.56	39
1 1 1	26.67	65
1 1 -2	27.60	46
1 1 2	32.73	55
3 1 1	35.34	52
0 2 0	45.48	62
8 0 -4	45.96	40
3 1 -5	46.38	95
5 1 1	46.97	54

***

Entry 2:
Computed powder diffraction line list of Dy3YBi3 for copper Kα, from the GGA-PBE geometry in Alexandria.
Peak positions follow from Bragg's law for the DFT cell and can differ from measured ones.

a = 9.3968 Å, b = 9.3968 Å, c = 9.3968 Å
α = 90.00°, β = 90.00°, γ = 90.00°
Space group P2_13 (No. 198)
Symmetry-distinct sites (fractional):
Dy (0.0733, 0.4267, 0.5733) [4 per cell]
Dy (0.1770, 0.1770, 0.1770) [4 per cell]
Dy (0.1772, 0.8228, 0.3228) [4 per cell]
Y (0.0729, 0.5729, 0.9271) [4 per cell]
Bi (0.9998, 0.2495, 0.8752) [12 per cell]

Peak list (10 most intense, 2θ from 10° to 80°, by angle)
h k l	2θ/deg	intensity
2 1 1	23.19	14
3 0 1	30.07	100
3 1 2	35.75	67
4 0 2	43.05	20
3 3 2	45.26	14
4 2 2	47.40	13
4 3 1	49.46	19
6 1 1	60.76	31
5 1 4	64.24	15
7 1 2	74.15	20

***

Entry 3:
Computed powder diffraction line list of Dy2Re2N5 for copper Kα, from the GGA-PBE geometry in Alexandria.
Peak positions follow from Bragg's law for the DFT cell and can differ from measured ones.

a = 15.0962 Å, b = 5.7442 Å, c = 5.4333 Å
α = 90.00°, β = 90.00°, γ = 90.00°
Space group Ima2 (No. 46)
Symmetry-distinct sites (fractional):
Dy (0.1120, 0.0106, 0.0000) [8 per cell]
Re (0.0000, 0.0000, 0.5012) [4 per cell]
Re (0.2500, 0.5356, 0.0337) [4 per cell]
N (0.0190, 0.7490, 0.2546) [8 per cell]
N (0.1354, 0.0881, 0.5007) [8 per cell]
N (0.2500, 0.6627, 0.3733) [4 per cell]

Peak list (10 most intense, 2θ from 10° to 80°, by angle)
h k l	2θ/deg	intensity
0 2 0	31.14	30
4 1 1	32.83	100
0 0 2	32.97	28
0 2 2	45.98	23
8 0 0	48.23	10
4 3 1	56.49	21
8 2 0	58.53	8
4 1 3	58.79	19
8 0 2	59.66	9
8 2 2	68.84	11

***

Entry 4:
Computed powder diffraction line list of KAgSe5 for copper Kα, from the GGA-PBE geometry in Alexandria.
Peak positions follow from Bragg's law for the DFT cell and can differ from measured ones.

a = 6.5697 Å, b = 13.7185 Å, c = 9.2851 Å
α = 90.00°, β = 91.34°, γ = 90.00°
Space group C2/c (No. 15)
Symmetry-distinct sites (fractional):
K (0.0000, 0.0371, 0.2500) [4 per cell]
Ag (0.0000, 0.5000, 0.0000) [4 per cell]
Se (0.0000, 0.4162, 0.7500) [4 per cell]
Se (0.0068, 0.1856, 0.5272) [8 per cell]
Se (0.1853, 0.3519, 0.3750) [8 per cell]

Peak list (10 most intense, 2θ from 10° to 80°, by angle)
h k l	2θ/deg	intensity
1 1 0	14.95	40
1 1 1	17.93	24
1 3 0	23.71	30
2 0 0	27.15	30
0 4 1	27.73	26
1 3 -2	30.43	100
0 2 3	31.72	31
2 2 1	31.91	22
3 3 0	45.96	24
2 0 4	48.55	19

***

Entry 5:
Computed powder diffraction line list of Ce2MnSi3Pt12 for copper Kα, from the GGA-PBE geometry in Alexandria.
Peak positions follow from Bragg's law for the DFT cell and can differ from measured ones.

a = 8.2118 Å, b = 8.2118 Å, c = 17.9214 Å
α = 90.00°, β = 90.00°, γ = 120.00°
Space group R-3m (No. 166, hexagonal axes)
Symmetry-distinct sites (fractional):
Ce (0.0000, 0.0000, 0.1131) [6 per cell]
Mn (0.0000, 0.0000, 0.5000) [3 per cell]
Si (0.0000, 0.5000, 0.0000) [9 per cell]
Pt (0.0101, 0.5050, 0.8690) [18 per cell]
Pt (0.0239, 0.5119, 0.3705) [18 per cell]

Peak list (10 most intense, 2θ from 10° to 80°, by angle)
h k l	2θ/deg	intensity
1 1 0	21.64	9
1 0 4	23.47	10
0 2 4	32.14	100
2 1 4	39.08	6
2 2 0	44.11	52
2 0 8	48.00	39
4 0 4	55.61	20
0 4 8	67.23	13
2 4 4	73.58	16
2 2 12	79.36	15

***

Entry 6:
Computed powder diffraction line list of UPb2S4I for copper Kα, from the GGA-PBE geometry in Alexandria.
Peak positions follow from Bragg's law for the DFT cell and can differ from measured ones.

a = 13.1259 Å, b = 4.0831 Å, c = 10.3936 Å
α = 90.00°, β = 118.17°, γ = 90.00°
Space group C2/m (No. 12)
Symmetry-distinct sites (fractional):
U (0.0000, 0.0000, 0.0000) [2 per cell]
Pb (0.2036, 0.0000, 0.7503) [4 per cell]
S (0.1083, 0.5000, 0.9486) [4 per cell]
S (0.1556, 0.0000, 0.2677) [4 per cell]
I (0.0000, 0.5000, 0.5000) [2 per cell]

Peak list (10 most intense, 2θ from 10° to 80°, by angle)
h k l	2θ/deg	intensity
2 0 -2	18.16	100
1 1 1	26.48	69
3 1 -1	29.96	62
2 0 2	30.06	41
3 1 -2	31.16	35
1 1 -3	34.50	46
0 0 4	39.34	23
0 2 0	44.37	18
5 1 0	45.00	21
3 1 -5	49.18	17